This entry pairs a crystal structure of BaSr2I6 with its simulated PXRD pattern. Radiation: λ = 1.5418 Å (Cu Kα). Structure: DFT lattice parameters and positions (GGA-PBE).
Intensities are scaled so that the largest is 100.

Structural model:
```
BaSr2I6
1.0
7.714 0.000 0.000
0.000 8.393 0.000
-6.629 0.000 13.778
Ba Sr I
2 4 12
direct
0.000 0.000 0.000 Ba
0.000 0.500 0.500 Ba
0.330 0.101 0.756 Sr
0.330 0.399 0.256 Sr
0.670 0.601 0.744 Sr
0.670 0.899 0.244 Sr
0.058 0.074 0.236 I
0.058 0.426 0.736 I
0.302 0.675 0.095 I
0.302 0.825 0.595 I
0.432 0.193 0.094 I
0.432 0.307 0.594 I
0.568 0.693 0.406 I
0.568 0.807 0.906 I
0.698 0.175 0.405 I
0.698 0.325 0.905 I
0.942 0.574 0.264 I
0.942 0.926 0.764 I
```

The 10 most intense peaks (2θ = 10–90°), in order of rising 2θ:
2θ (°)	intensity
21.75	48
23.33	100
24.79	85
25.66	45
25.84	92
27.02	38
27.89	36
33.66	53
34.96	77
39.96	37